# K2Ga3CuSe6
Theoretical X-ray diffraction stick pattern, copper Kα. Input: DFT lattice parameters and positions (PBE).
No peak broadening, texture or thermal motion is included.

The 12 most intense peaks (2θ from 10° to 80°), most intense first:
| h k l | 2θ (°) | I_rel |
| --- | --- | --- |
| 2 2 4 | 29.7 | 100.0 |
| 2 2 -3 | 25.0 | 58.1 |
| 0 4 7 | 44.5 | 55.3 |
| 4 4 -1 | 46.1 | 36.6 |
| 2 2 -12 | 55.7 | 30.3 |
| 6 2 -6 | 55.9 | 14.7 |
| 2 2 -4 | 27.1 | 13.3 |
| 6 6 3 | 75.2 | 12.3 |
| 4 0 8 | 51.2 | 8.6 |
| 0 4 9 | 51.2 | 8.3 |
| 2 6 -3 | 53.0 | 7.6 |
| 6 2 -4 | 53.2 | 7.4 |

Cell and atoms:
a = 11.1298 Å, b = 11.1635 Å, c = 21.0784 Å
α = 90.00°, β = 97.57°, γ = 90.00°
Space group C2/c (No. 15)
Symmetry-distinct sites (fractional):
K: 0.0846 0.1907 0.0803 [8 per cell]
K: 0.1676 0.4362 0.4194 [8 per cell]
Ga: 0.0000 0.0571 0.2500 [4 per cell]
Ga: 0.0000 0.4319 0.7500 [4 per cell]
Ga: 0.0329 0.1874 0.8810 [8 per cell]
Ga: 0.2177 0.4372 0.6200 [8 per cell]
Cu: 0.2495 0.1873 0.7498 [8 per cell]
Se: 0.0870 0.3011 0.5495 [8 per cell]
Se: 0.1012 0.4330 0.1818 [8 per cell]
Se: 0.1150 0.0572 0.6800 [8 per cell]
Se: 0.1349 0.1925 0.3183 [8 per cell]
Se: 0.1500 0.3172 0.8197 [8 per cell]
Se: 0.1875 0.0738 0.9506 [8 per cell]